(1)
The following is a simulated XRD peak list of K2GaWS. It was derived from a structure optimized by DFT (PBE), using Cu Kα (weighted mean of Kα1 and Kα2).
Peak positions follow from Bragg's law for the DFT cell and can differ from measured ones.

```
data_K2GaWS
_chemical_formula_sum 'K2 Ga1 W1 S1'
_symmetry_space_group_name_H-M 'P 1'
_symmetry_Int_Tables_number 1
_symmetry_space_group_name_Hall 'P 1'
_cell_length_a 6.7423
_cell_length_b 6.7423
_cell_length_c 4.4890
_cell_angle_alpha 90.00
_cell_angle_beta 90.00
_cell_angle_gamma 90.00
loop_
_atom_site_label
_atom_site_type_symbol
_atom_site_fract_x
_atom_site_fract_y
_atom_site_fract_z
K1 K 0.0000 0.5000 0.0000
K2 K 0.5000 0.0000 0.0000
Ga1 Ga 0.0000 0.0000 0.5000
W1 W 0.5000 0.5000 0.0000
S1 S 0.5000 0.5000 0.5000
```

Peak list (12 most intense, 10° ≤ 2θ ≤ 90°, most intense first)
Position (°2θ)	d (Å)	I (rel.)
26.44	3.371	100
23.81	3.737	89
13.13	6.742	74
18.61	4.768	70
35.88	2.503	64
48.73	1.869	41
37.74	2.384	38
56.29	1.634	26
42.41	2.131	26
29.63	3.015	21
53.05	1.726	21
40.16	2.245	21

=====

(2)
The following is a simulated XRD peak list of K3GaSb. It was derived from a structure optimized by DFT (PBE), using Cu Kα (weighted mean of Kα1 and Kα2).
Peak positions follow from Bragg's law for the DFT cell and can differ from measured ones.

```
data_K3GaSb
_chemical_formula_sum 'K6 Ga2 Sb2'
_symmetry_space_group_name_H-M 'P 1'
_symmetry_Int_Tables_number 1
_symmetry_space_group_name_Hall 'P 1'
_cell_length_a 8.5448
_cell_length_b 8.5448
_cell_length_c 8.5448
_cell_angle_alpha 97.12
_cell_angle_beta 119.64
_cell_angle_gamma 112.42
loop_
_atom_site_label
_atom_site_type_symbol
_atom_site_fract_x
_atom_site_fract_y
_atom_site_fract_z
K1 K 0.2125 0.5257 0.1867
K2 K 0.2376 0.0275 0.2651
K3 K 0.2376 0.4725 0.7102
K4 K 0.3390 0.0257 0.8133
K5 K 0.7624 0.5275 0.2898
K6 K 0.7624 0.9725 0.7349
Ga1 Ga 0.6240 0.8888 0.2352
Ga2 Ga 0.6536 0.3888 0.7648
Sb1 Sb 0.8654 0.1604 0.2050
Sb2 Sb 0.9554 0.6604 0.7950
```

Peak list (12 most intense, 10° ≤ 2θ ≤ 90°, most intense first)
Position (°2θ)	d (Å)	I (rel.)
26.05	3.421	100
15.67	5.655	52
13.90	6.373	49
34.08	2.631	48
30.06	2.972	35
31.64	2.828	34
21.00	4.230	33
32.25	2.776	30
44.21	2.049	23
41.21	2.191	16
20.68	4.296	16
45.62	1.988	14

=====

(3)
The following is a simulated XRD peak list of K2GaSb3. It was derived from a structure optimized by DFT (PBE), using Cu Kα (weighted mean of Kα1 and Kα2).
Peak positions follow from Bragg's law for the DFT cell and can differ from measured ones.

```
data_K2GaSb3
_chemical_formula_sum 'K4 Ga2 Sb6'
_symmetry_space_group_name_H-M 'P 1'
_symmetry_Int_Tables_number 1
_symmetry_space_group_name_Hall 'P 1'
_cell_length_a 6.4770
_cell_length_b 6.4770
_cell_length_c 12.5695
_cell_angle_alpha 90.00
_cell_angle_beta 90.00
_cell_angle_gamma 120.00
loop_
_atom_site_label
_atom_site_type_symbol
_atom_site_fract_x
_atom_site_fract_y
_atom_site_fract_z
K1 K 0.0000 0.0000 0.0000
K2 K 0.0000 0.0000 0.5000
K3 K 0.3333 0.6667 0.1008
K4 K 0.6667 0.3333 0.8992
Ga1 Ga 0.3333 0.6667 0.5835
Ga2 Ga 0.6667 0.3333 0.4165
Sb1 Sb 0.1529 0.3057 0.7613
Sb2 Sb 0.1529 0.8471 0.7613
Sb3 Sb 0.3057 0.1529 0.2387
Sb4 Sb 0.6943 0.8471 0.7613
Sb5 Sb 0.8471 0.1529 0.2387
Sb6 Sb 0.8471 0.6943 0.2387
```

Peak list (12 most intense, 10° ≤ 2θ ≤ 90°, most intense first)
Position (°2θ)	d (Å)	I (rel.)
32.70	2.739	100
14.09	6.285	73
38.63	2.331	56
31.07	2.879	37
17.31	5.122	36
35.04	2.561	36
21.23	4.185	33
43.24	2.092	30
56.84	1.620	27
28.41	3.142	21
48.64	1.872	18
15.80	5.609	16